Computed powder diffractogram of Ba2CdGa2Sb4 for Cu Kα (weighted mean of Kα1 and Kα2), from a PBE-relaxed structure.
No peak broadening, texture or thermal motion is included.

The 10 most intense peaks (5° ≤ 2θ ≤ 70°), in order of rising 2θ:
two_theta, Rel. int.
24.5, 59
28.3, 41
30.9, 76
31.3, 100
31.6, 32
31.8, 65
32.0, 29
33.9, 37
36.0, 74
43.4, 29

```
9
Lattice="8.4985 -2.4970 0.0000 8.4985 2.4970 0.0000 -2.5611 0.0000 6.5964" Properties=species:S:1:pos:R:3 pbc="T T T"
Ba 2.0417 0.0000 0.6424
Ba 12.3942 0.0000 5.9539
Cd -1.2806 0.0000 3.2982
Ga 4.3228 0.0000 3.3870
Ga 10.1132 0.0000 3.2094
Sb 1.6869 0.0000 4.4708
Sb 7.8665 0.0000 1.5861
Sb 6.5694 0.0000 5.0103
Sb 12.7490 0.0000 2.1256
```